(1)
Structure and simulated powder diffractogram of Ca2La2Zn3 (a cell relaxed with GGA-PBE; Cu Kα (weighted mean of Kα1 and Kα2)).

Main lines, by angle (10° ≤ 2θ ≤ 90°):
h k l	2θ (°)	d_spacing	I (rel.)
0 0 3	10.42	8.493	60
1 0 4	24.03	3.703	16
0 1 5	26.25	3.395	29
1 1 0	34.12	2.628	100
0 1 8	34.37	2.609	94
1 1 3	35.77	2.511	20
2 0 8	49.21	1.852	33
3 0 0	61.08	1.517	18
1 2 8	61.24	1.514	34
1 0 16	61.71	1.503	14

Structural model:
```
data_Ca2La2Zn3
_chemical_formula_sum 'Ca6 La6 Zn9'
_space_group_name_H-M_alt 'R -3 m'
_space_group_IT_number 166
_space_group_name_Hall '-R 3 2"'
_cell_length_a 5.2559
_cell_length_b 5.2559
_cell_length_c 25.4784
_cell_angle_alpha 90.00
_cell_angle_beta 90.00
_cell_angle_gamma 120.00
loop_
_atom_site_label
_atom_site_type_symbol
_atom_site_fract_x
_atom_site_fract_y
_atom_site_fract_z
_atom_site_occupancy
Ca1 Ca 0.0000 0.0000 0.1274 1
La1 La 0.0000 0.0000 0.3797 1
Zn1 Zn 0.0000 0.0000 0.0000 1
Zn2 Zn 0.0000 0.0000 0.2539 1
```



(2)
Structure and simulated powder diffractogram of LaSi4Ni9 (a cell relaxed with GGA-PBE; Cu Kα (weighted mean of Kα1 and Kα2)).

Main lines, by angle (10° ≤ 2θ ≤ 90°):
h k l	2θ (°)	d_spacing	I (rel.)
0 0 4	31.20	2.867	19
1 1 4	35.22	2.548	15
2 2 2	35.90	2.502	21
3 1 0	36.12	2.487	16
2 0 4	38.88	2.317	22
3 1 2	39.50	2.281	100
2 1 5	47.32	1.921	39
3 2 3	48.03	1.894	34
4 1 1	48.39	1.881	22
4 2 0	52.01	1.758	14

Structural model:
```
data_LaSi4Ni9
_chemical_formula_sum 'La4 Si16 Ni36'
_space_group_name_H-M_alt 'I 4/m c m'
_space_group_IT_number 140
_space_group_name_Hall '-I 4 2c'
_cell_length_a 7.8638
_cell_length_b 7.8638
_cell_length_c 11.4683
_cell_angle_alpha 90.00
_cell_angle_beta 90.00
_cell_angle_gamma 90.00
loop_
_atom_site_label
_atom_site_type_symbol
_atom_site_fract_x
_atom_site_fract_y
_atom_site_fract_z
_atom_site_occupancy
La1 La 0.0000 0.0000 0.2500 1
Si1 Si 0.1702 0.3298 0.1172 1
Ni1 Ni 0.0000 0.5000 0.0000 1
Ni2 Ni 0.0687 0.2042 0.5000 1
Ni3 Ni 0.1309 0.3691 0.3151 1
```



(3)
Structure and simulated powder diffractogram of Cs4BrO (a cell relaxed with GGA-PBE; Cu Kα (weighted mean of Kα1 and Kα2)).

Main lines, by angle (10° ≤ 2θ ≤ 90°):
h k l	2θ (°)	d_spacing	I (rel.)
1 1 0	11.43	7.739	23
1 1 -1	12.45	7.108	43
2 0 0	21.11	4.209	29
0 4 1	22.03	4.035	52
2 0 -2	23.34	3.812	29
0 0 2	25.24	3.529	38
2 4 -1	25.81	3.452	100
3 1 0	32.23	2.778	20
2 4 1	34.96	2.567	24
2 4 -3	37.81	2.380	21

Structural model:
```
data_Cs4BrO
_chemical_formula_sum 'Cs16 Br4 O4'
_space_group_name_H-M_alt 'C 1 2/c 1'
_space_group_IT_number 15
_cell_length_a 9.7491
_cell_length_b 19.6703
_cell_length_c 8.1739
_cell_angle_alpha 90.00
_cell_angle_beta 120.30
_cell_angle_gamma 90.00
loop_
_space_group_symop_operation_xyz
'x,y,z'
'-x,-y,-z'
'-x,y,-z+1/2'
'x,-y,z+1/2'
'x+1/2,y+1/2,z'
'-x+1/2,-y+1/2,-z'
'-x+1/2,y+1/2,-z+1/2'
'x+1/2,-y+1/2,z+1/2'
loop_
_atom_site_label
_atom_site_type_symbol
_atom_site_fract_x
_atom_site_fract_y
_atom_site_fract_z
_atom_site_occupancy
Cs1 Cs 0.1920 0.0477 0.1563 1
Cs2 Cs 0.2115 0.1656 0.7499 1
Br1 Br 0.0000 0.3194 0.7500 1
O1 O 0.0000 0.0654 0.7500 1
```



(4)
Structure and simulated powder diffractogram of PrNdSb2 (a cell relaxed with GGA-PBE; Cu Kα (weighted mean of Kα1 and Kα2)).

Main lines, by angle (10° ≤ 2θ ≤ 90°):
h k l	2θ (°)	d_spacing	I (rel.)
2 0 -2	24.00	3.708	1
0 0 2	27.78	3.211	100
2 4 1	39.69	2.271	77
4 4 -3	46.92	1.937	1
4 0 0	49.14	1.854	28
0 0 4	57.38	1.606	13
4 8 0	64.93	1.436	35
4 0 2	72.03	1.311	26
4 8 2	85.53	1.135	8

Structural model:
```
data_PrNdSb2
_chemical_formula_sum 'Pr8 Nd8 Sb16'
_space_group_name_H-M_alt 'C 1 2/c 1'
_space_group_IT_number 15
_cell_length_a 9.0866
_cell_length_b 18.1615
_cell_length_c 7.8670
_cell_angle_alpha 90.00
_cell_angle_beta 125.27
_cell_angle_gamma 90.00
loop_
_space_group_symop_operation_xyz
'x,y,z'
'-x,-y,-z'
'-x,y,-z+1/2'
'x,-y,z+1/2'
'x+1/2,y+1/2,z'
'-x+1/2,-y+1/2,-z'
'-x+1/2,y+1/2,-z+1/2'
'x+1/2,-y+1/2,z+1/2'
loop_
_atom_site_label
_atom_site_type_symbol
_atom_site_fract_x
_atom_site_fract_y
_atom_site_fract_z
_atom_site_occupancy
Pr1 Pr 0.0000 0.0627 0.2500 1
Pr2 Pr 0.0000 0.3121 0.2500 1
Nd1 Nd 0.0000 0.1873 0.7500 1
Nd2 Nd 0.0000 0.4378 0.7500 1
Sb1 Sb 0.2490 0.3125 0.7515 1
Sb2 Sb 0.2493 0.4374 0.2486 1
```



(5)
Structure and simulated powder diffractogram of KNi4Ag (a cell relaxed with GGA-PBE; Cu Kα (weighted mean of Kα1 and Kα2)).

Main lines, by angle (10° ≤ 2θ ≤ 90°):
h k l	2θ (°)	d_spacing	I (rel.)
1 1 1	21.66	4.102	10
2 0 0	25.07	3.553	8
2 2 0	35.74	2.512	32
3 1 1	42.18	2.142	100
2 2 2	44.15	2.051	36
4 2 0	58.05	1.589	4
4 2 2	64.22	1.450	10
3 3 3	68.64	1.367	28
4 4 0	75.72	1.256	23
6 2 0	86.66	1.123	4

Structural model:
```
data_KNi4Ag
_chemical_formula_sum 'K4 Ni16 Ag4'
_space_group_name_H-M_alt 'F -4 3 m'
_space_group_IT_number 216
_space_group_name_Hall 'F -4 2 3'
_cell_length_a 7.1053
_cell_length_b 7.1053
_cell_length_c 7.1053
_cell_angle_alpha 90.00
_cell_angle_beta 90.00
_cell_angle_gamma 90.00
loop_
_atom_site_label
_atom_site_type_symbol
_atom_site_fract_x
_atom_site_fract_y
_atom_site_fract_z
_atom_site_occupancy
K1 K 0.0000 0.0000 0.0000 1
Ni1 Ni 0.1242 0.1242 0.6242 1
Ag1 Ag 0.2500 0.2500 0.2500 1
```



(6)
Structure and simulated powder diffractogram of Sm2ThGa6 (a cell relaxed with GGA-PBE; Cu Kα (weighted mean of Kα1 and Kα2)).

Main lines, by angle (10° ≤ 2θ ≤ 90°):
h k l	2θ (°)	d_spacing	I (rel.)
1 1 0	24.12	3.690	17
1 1 1	32.19	2.781	100
3 0 0	42.43	2.130	39
0 0 2	42.73	2.116	13
2 2 1	54.24	1.691	23
3 0 2	61.80	1.501	26
4 1 1	71.19	1.324	20
1 1 3	71.61	1.318	10
3 3 0	77.63	1.230	7
2 2 3	86.93	1.121	6

Structural model:
```
data_Sm2ThGa6
_chemical_formula_sum 'Sm2 Th1 Ga6'
_space_group_name_H-M_alt 'P 6/m m m'
_space_group_IT_number 191
_space_group_name_Hall '-P 6 2'
_cell_length_a 7.3791
_cell_length_b 7.3791
_cell_length_c 4.2322
_cell_angle_alpha 90.00
_cell_angle_beta 90.00
_cell_angle_gamma 120.00
loop_
_atom_site_label
_atom_site_type_symbol
_atom_site_fract_x
_atom_site_fract_y
_atom_site_fract_z
_atom_site_occupancy
Sm1 Sm 0.3333 0.6667 0.0000 1
Th1 Th 0.0000 0.0000 0.0000 1
Ga1 Ga 0.0000 0.3338 0.5000 1
```



(7)
Structure and simulated powder diffractogram of Sm3HoIn3Te8 (a cell relaxed with GGA-PBE; Cu Kα (weighted mean of Kα1 and Kα2)).

Main lines, by angle (10° ≤ 2θ ≤ 90°):
h k l	2θ (°)	d_spacing	I (rel.)
0 0 3	11.20	7.899	11
0 2 4	27.68	3.223	100
2 0 8	38.37	2.346	40
2 2 0	40.68	2.218	36
0 0 12	45.96	1.975	7
4 0 4	49.91	1.827	19
0 4 8	57.16	1.612	12
2 2 12	63.03	1.475	17
2 4 4	66.28	1.410	16
4 2 8	72.50	1.304	12

Structural model:
```
data_Sm3HoIn3Te8
_chemical_formula_sum 'Sm9 Ho3 In9 Te24'
_space_group_name_H-M_alt 'R -3 m'
_space_group_IT_number 166
_space_group_name_Hall '-R 3 2"'
_cell_length_a 8.8716
_cell_length_b 8.8716
_cell_length_c 23.6957
_cell_angle_alpha 90.00
_cell_angle_beta 90.00
_cell_angle_gamma 120.00
loop_
_atom_site_label
_atom_site_type_symbol
_atom_site_fract_x
_atom_site_fract_y
_atom_site_fract_z
_atom_site_occupancy
Sm1 Sm 0.0000 0.5000 0.0000 1
Ho1 Ho 0.0000 0.0000 0.0000 1
In1 In 0.0000 0.5000 0.5000 1
Te1 Te 0.0000 0.0000 0.2560 1
Te2 Te 0.0048 0.5024 0.7424 1
```



(8)
Structure and simulated powder diffractogram of Pr7Sm3Er (a cell relaxed with GGA-PBE; Cu Kα (weighted mean of Kα1 and Kα2)).

Main lines, by angle (10° ≤ 2θ ≤ 90°):
h k l	2θ (°)	d_spacing	I (rel.)
2 0 -4	27.74	3.216	27
5 1 0	28.77	3.103	26
0 2 2	29.23	3.056	49
0 0 4	30.28	2.952	82
6 0 0	31.15	2.871	75
4 2 -2	32.20	2.780	100
2 2 2	33.08	2.708	92
6 0 -4	33.70	2.659	38
4 2 -6	49.59	1.838	41
2 2 6	58.17	1.586	28

Structural model:
```
data_Pr7Sm3Er
_chemical_formula_sum 'Pr28 Sm12 Er4'
_space_group_name_H-M_alt 'C 1 2/c 1'
_space_group_IT_number 15
_cell_length_a 18.8079
_cell_length_b 7.1432
_cell_length_c 12.8885
_cell_angle_alpha 90.00
_cell_angle_beta 113.66
_cell_angle_gamma 90.00
loop_
_space_group_symop_operation_xyz
'x,y,z'
'-x,-y,-z'
'-x,y,-z+1/2'
'x,-y,z+1/2'
'x+1/2,y+1/2,z'
'-x+1/2,-y+1/2,-z'
'-x+1/2,y+1/2,-z+1/2'
'x+1/2,-y+1/2,z+1/2'
loop_
_atom_site_label
_atom_site_type_symbol
_atom_site_fract_x
_atom_site_fract_y
_atom_site_fract_z
_atom_site_occupancy
Pr1 Pr 0.0000 0.1396 0.2500 1
Pr2 Pr 0.1323 0.4693 0.7756 1
Pr3 Pr 0.1668 0.2397 0.5280 1
Pr4 Pr 0.1707 0.2447 0.0357 1
Sm1 Sm 0.0000 0.5000 0.0000 1
Sm2 Sm 0.1810 0.0120 0.2731 1
Er1 Er 0.0000 0.0000 0.0000 1
```